Simulated powder diffraction line list of Sr2BMoO6 for a wavelength of 1.5418 Å, from a crystal structure in Alexandria, relaxed with PBE+U.
Lines closer than 0.1° are merged.

Atomic structure:
a b c (Å): 6.136 5.654 5.388
angles (deg): 67.47 58.33 54.20
Fractional coordinates of all 10 atoms:
Sr (0.250, 0.250, 0.250)
Sr (0.750, 0.750, 0.750)
B (0.000, 0.000, 0.000)
Mo (0.500, 0.500, 0.500)
O (0.189, 0.811, 0.811)
O (0.274, 0.726, 0.274)
O (0.277, 0.277, 0.723)
O (0.723, 0.723, 0.277)
O (0.726, 0.274, 0.726)
O (0.811, 0.189, 0.189)

Largest 10 diffraction maxima, low angle first, 2θ = 10–80°:
2θ 19.48, 4.558 Å, I = 64.1; 2θ 29.20, 3.059 Å, I = 100.0; 2θ 32.90, 2.722 Å, I = 77.6; 2θ 33.93, 2.642 Å, I = 71.2; 2θ 39.55, 2.279 Å, I = 33.3; 2θ 40.03, 2.252 Å, I = 45.7; 2θ 43.44, 2.083 Å, I = 35.7; 2θ 53.46, 1.714 Å, I = 36.6; 2θ 55.55, 1.654 Å, I = 33.0; 2θ 60.54, 1.529 Å, I = 23.5

=====

Simulated powder diffraction line list of Co8As3O16 for a wavelength of 1.5418 Å, from a crystal structure in Alexandria, relaxed with PBE+U.
Lines closer than 0.1° are merged.

Atomic structure:
a b c (Å): 6.098 6.098 9.953
angles (deg): 107.75 107.75 60.39
Fractional coordinates of all 27 atoms:
Co (0.000, 0.500, 0.000)
Co (0.238, 0.755, 0.741)
Co (0.245, 0.762, 0.259)
Co (0.253, 0.253, 0.740)
Co (0.500, 0.000, 0.000)
Co (0.747, 0.747, 0.260)
Co (0.755, 0.238, 0.741)
Co (0.762, 0.245, 0.259)
As (0.308, 0.308, 0.420)
As (0.500, 0.500, 0.000)
As (0.692, 0.692, 0.580)
O (0.132, 0.603, 0.369)
O (0.134, 0.134, 0.368)
O (0.136, 0.136, 0.863)
O (0.178, 0.596, 0.882)
O (0.371, 0.371, 0.611)
O (0.392, 0.392, 0.116)
O (0.397, 0.868, 0.631)
O (0.404, 0.822, 0.118)
O (0.596, 0.178, 0.882)
O (0.603, 0.132, 0.369)
O (0.608, 0.608, 0.884)
O (0.629, 0.629, 0.389)
O (0.822, 0.404, 0.118)
O (0.864, 0.864, 0.137)
O (0.866, 0.866, 0.632)
O (0.868, 0.397, 0.631)

Largest 10 diffraction maxima, low angle first, 2θ = 10–80°:
2θ 17.02, 5.208 Å, I = 54.7; 2θ 23.13, 3.845 Å, I = 90.0; 2θ 30.69, 2.914 Å, I = 70.6; 2θ 35.18, 2.551 Å, I = 66.3; 2θ 36.29, 2.475 Å, I = 83.7; 2θ 37.55, 2.395 Å, I = 46.2; 2θ 42.82, 2.112 Å, I = 100.0; 2θ 43.00, 2.103 Å, I = 48.8; 2θ 60.75, 1.524 Å, I = 64.8; 2θ 63.84, 1.458 Å, I = 50.3